Structure and calculated PXRD pattern of LiV2P3O12 (a cell relaxed with PBE+U; Cu Kα, 1.54184 Å).

Atomic structure:
```
LiV2P3O12
1.0
8.447 0.000 0.000
-4.194 7.387 0.000
-4.083 -2.465 7.325
Li V P O
2 4 6 24
Cartesian
-1.214 0.347 2.982
1.384 4.575 4.343
-2.009 3.686 3.169
-1.900 -1.267 6.819
2.070 6.189 0.506
2.179 1.236 4.156
-4.381 3.615 5.549
-3.256 6.563 1.859
-0.819 1.556 5.466
0.989 3.366 1.859
3.426 -1.641 5.466
4.551 1.307 1.776
-4.753 6.243 1.654
-5.009 2.246 5.265
-5.465 4.731 5.502
-2.657 7.176 0.562
-3.338 3.979 4.451
-2.430 5.340 2.223
-1.495 1.975 4.132
-0.561 3.306 2.006
-1.239 0.072 5.615
0.878 0.255 2.982
1.377 2.535 0.649
-3.709 3.604 6.925
3.879 1.317 0.400
-1.207 2.387 6.676
-0.709 4.667 4.343
1.409 4.850 1.710
0.731 1.615 5.319
1.665 2.947 3.193
2.599 -0.419 5.102
3.507 0.943 2.875
2.827 -2.254 6.763
5.635 0.191 1.823
5.179 2.675 2.060
4.923 -1.321 5.671
```

Most intense lines, 2θ = 10–80°, sorted by position:
two_theta  I_rel  index
14.42  85  0 1 -1
20.15  33  0 1 1
20.36  44  1 0 -2
24.09  100  1 -2 1
24.30  83  1 1 -2
24.55  37  -2 1 2
29.01  32  2 0 0
29.13  36  0 2 -2
32.05  39  2 -1 1
32.43  37  1 1 -3